Record 1
This entry pairs a crystal structure of SrPm3Rh with its calculated powder diffraction line list. Radiation: a wavelength of 1.5418 Å. Structure: DFT lattice parameters and positions (GGA-PBE).

Peak list (10 most intense, 10 to 80 degrees two-theta, sorted by position)
d/Å  2θ (°)  I (rel.)
3.100  28.79  44
2.989  29.89  38
2.922  30.60  100
2.907  30.76  67
2.612  34.34  33
2.566  34.96  67
2.490  36.08  24
2.383  37.76  27
2.025  44.76  28
1.602  57.55  35

Structural model:
```
10
Lattice="4.0496 0.0000 0.0000 0.0000 9.4695 0.0000 0.0000 0.0000 9.3015" Properties=species:S:1:pos:R:3 pbc="T T T"
Sr 1.0124 2.3674 0.2676
Sr 3.0372 7.1021 9.0339
Pm 1.0124 5.2828 6.1035
Pm 1.0124 7.1021 3.0575
Pm 1.0124 8.9214 6.1035
Pm 3.0372 0.5481 3.1980
Pm 3.0372 2.3674 6.2440
Pm 3.0372 4.1866 3.1980
Rh 1.0124 2.3674 4.2418
Rh 3.0372 7.1021 5.0597
```

---

Record 2
This entry pairs a crystal structure of Tb2PmRh9 with its calculated powder diffraction line list. Radiation: a wavelength of 1.5418 Å. Structure: DFT lattice parameters and positions (GGA-PBE).

Peak list (10 most intense, 10 to 80 degrees two-theta, sorted by position)
d/Å  2θ (°)  I (rel.)
2.907  30.76  27
2.673  33.53  28
2.643  33.92  36
2.280  39.52  37
2.264  39.81  100
2.195  41.13  19
2.122  42.61  18
2.099  43.09  29
1.441  64.67  23
1.321  71.38  25

Structural model:
```
12
Lattice="2.6428 1.5258 8.7796 -2.6428 1.5258 8.7796 0.0000 -3.0516 8.7796" Properties=species:S:1:pos:R:3 pbc="T T T"
Tb 0.0000 0.0000 3.6660
Tb 0.0000 0.0000 22.6727
Pm 0.0000 0.0000 0.0000
Rh -1.3223 -0.7634 10.9601
Rh 0.0000 0.0000 8.7699
Rh 0.0000 -1.5269 15.3786
Rh -1.3223 0.7634 15.3786
Rh 0.0000 0.0000 13.1694
Rh 1.3223 -0.7634 10.9601
Rh 0.0000 1.5269 10.9601
Rh 0.0000 0.0000 17.5688
Rh 1.3223 0.7634 15.3786
```

---

Record 3
This entry pairs a crystal structure of TbPmTh2Rh4 with its calculated powder diffraction line list. Radiation: a wavelength of 1.5418 Å. Structure: DFT lattice parameters and positions (GGA-PBE).

Peak list (10 most intense, 10 to 80 degrees two-theta, sorted by position)
d/Å  2θ (°)  I (rel.)
3.232  27.60  17
2.878  31.07  100
2.810  31.84  59
2.562  35.03  26
2.101  43.05  12
2.011  45.09  70
1.975  45.95  17
1.968  46.12  17
1.616  56.99  18
1.263  75.25  14

Structural model:
```
8
Lattice="0.0000 5.6209 4.2023 3.9502 0.0000 4.2023 3.9502 5.6209 0.0000" Properties=species:S:1:pos:R:3 pbc="T T T"
Tb 0.0000 0.0000 0.0000
Pm 3.9502 5.6209 3.6111
Th 1.9751 2.8105 1.3250
Th 5.9253 8.4314 5.5273
Rh 3.9502 2.6300 3.3868
Rh 5.5443 5.6209 5.9943
Rh 3.9502 8.6118 3.3868
Rh 2.3560 5.6209 5.9943
```

---

Record 4
This entry pairs a crystal structure of Pm4TeRh2 with its calculated powder diffraction line list. Radiation: a wavelength of 1.5418 Å. Structure: DFT lattice parameters and positions (GGA-PBE).

Peak list (10 most intense, 10 to 80 degrees two-theta, sorted by position)
d/Å  2θ (°)  I (rel.)
3.217  27.73  26
2.923  30.58  100
2.914  30.68  97
2.842  31.47  100
2.465  36.45  90
2.448  36.71  52
1.946  46.69  27
1.848  49.32  24
1.793  50.93  29
1.778  51.39  39

Structural model:
```
14
Lattice="-4.6222 4.6222 4.4806 4.6222 -4.6222 4.4806 4.6222 4.6222 -4.4806" Properties=species:S:1:pos:R:3 pbc="T T T"
Pm 2.9748 -0.6023 0.7387
Pm 6.2697 0.6023 0.7387
Pm 4.0200 2.9748 -1.5016
Pm 5.2245 -1.6474 3.7419
Pm 0.6023 1.6474 2.9790
Pm 4.0200 1.6474 3.7419
Pm 1.6474 -0.6023 5.9822
Pm 2.9748 5.2245 1.5016
Te 0.0000 0.0000 0.0000
Te 0.0000 4.6222 2.2403
Rh 2.3111 -0.9737 3.3604
Rh 3.6485 2.3111 1.1201
Rh 2.3111 5.5959 -1.1201
Rh 0.9737 2.3111 5.6007
```

---

Record 5
This entry pairs a crystal structure of Pm4TeRh2 with its calculated powder diffraction line list. Radiation: a wavelength of 1.5418 Å. Structure: DFT lattice parameters and positions (GGA-PBE).

Peak list (10 most intense, 10 to 80 degrees two-theta, sorted by position)
d/Å  2θ (°)  I (rel.)
7.112  12.45  28
4.355  20.39  23
3.714  23.96  33
3.556  25.04  42
3.079  29.00  77
2.371  37.96  67
2.177  41.47  100
1.778  51.39  14
1.604  57.47  14
1.258  75.61  13

Structural model:
```
14
Lattice="0.0000 6.1585 6.1677 6.1503 0.0000 6.1677 6.1503 6.1585 0.0000" Properties=species:S:1:pos:R:3 pbc="T T T"
Pm 9.4525 5.9356 5.9435
Pm 6.3773 6.3815 2.8597
Pm 2.8482 2.8563 2.8597
Pm 6.3773 2.8563 6.3919
Pm 5.9233 9.4608 5.9435
Pm 9.4525 9.4608 9.4758
Pm 5.9233 5.9356 9.4758
Pm 2.8482 6.3815 6.3919
Te 4.6127 4.6189 4.6258
Te 7.6879 7.6982 7.7097
Rh 0.0000 0.0000 0.0000
Rh 3.0752 3.0793 0.0000
Rh 3.0752 0.0000 3.0839
Rh 0.0000 3.0793 3.0839
```

---

Record 6
This entry pairs a crystal structure of PmTh3Rh4 with its calculated powder diffraction line list. Radiation: a wavelength of 1.5418 Å. Structure: DFT lattice parameters and positions (GGA-PBE).

Peak list (10 most intense, 10 to 80 degrees two-theta, sorted by position)
d/Å  2θ (°)  I (rel.)
3.345  26.65  19
2.897  30.87  100
2.050  44.18  37
2.046  44.26  37
1.748  52.35  6
1.675  54.80  7
1.671  54.94  20
1.449  64.28  8
1.297  72.94  11
1.295  73.09  22

Structural model:
```
16
Lattice="7.1004 0.0000 0.0000 0.0000 8.1883 0.0000 -2.3434 0.0000 6.6879" Properties=species:S:1:pos:R:3 pbc="T T T"
Pm -0.5859 1.0197 1.6720
Pm -1.7576 7.1686 5.0159
Th -1.7576 3.0579 5.0159
Th -0.5859 5.1304 1.6720
Th 1.7926 1.0286 5.0159
Th 2.9643 3.0635 1.6720
Th 1.7926 5.1248 5.0159
Th 2.9643 7.1597 1.6720
Rh 0.6059 3.1151 3.3772
Rh 1.7777 5.0732 0.0333
Rh -0.4909 1.0615 6.6790
Rh 0.6809 7.1269 3.3351
Rh 4.0760 1.0615 3.3528
Rh 5.2478 7.1269 0.0089
Rh 2.9792 3.1151 6.6546
Rh 4.1510 5.0732 3.3107
```

---

Record 7
This entry pairs a crystal structure of Pm7TlRh2 with its calculated powder diffraction line list. Radiation: a wavelength of 1.5418 Å. Structure: DFT lattice parameters and positions (GGA-PBE).

Peak list (10 most intense, 10 to 80 degrees two-theta, sorted by position)
d/Å  2θ (°)  I (rel.)
5.310  16.70  55
3.469  25.68  52
3.270  27.28  100
2.917  30.65  61
2.777  32.24  99
2.655  33.76  96
2.602  34.47  91
2.554  35.14  58
1.919  47.38  69
1.841  49.53  44

Structural model:
```
10
Lattice="4.5824 -6.9808 0.0000 4.5824 6.9808 0.0000 0.0000 0.0000 5.3097" Properties=species:S:1:pos:R:3 pbc="T T T"
Pm 0.0000 0.0000 0.0000
Pm 2.9024 1.7851 0.0000
Pm 4.5824 4.0459 2.6549
Pm 2.9024 -1.7851 0.0000
Pm 6.2624 1.7851 0.0000
Pm 4.5824 -4.0459 2.6549
Pm 6.2624 -1.7851 0.0000
Tl 4.5824 0.0000 2.6549
Rh 4.5824 4.1517 0.0000
Rh 4.5824 -4.1517 0.0000
```

---

Record 8
This entry pairs a crystal structure of Pm12TlRh5 with its calculated powder diffraction line list. Radiation: a wavelength of 1.5418 Å. Structure: DFT lattice parameters and positions (GGA-PBE).

Peak list (10 most intense, 10 to 80 degrees two-theta, sorted by position)
d/Å  2θ (°)  I (rel.)
3.059  29.19  33
2.874  31.12  100
2.721  32.91  83
2.660  33.70  97
2.615  34.29  44
2.605  34.43  42
2.416  37.22  34
2.310  38.99  21
1.609  57.27  34
1.584  58.23  44

Structural model:
```
18
Lattice="-4.8316 4.8836 5.2473 4.8316 -4.8836 5.2473 4.8316 4.8836 -5.2473" Properties=species:S:1:pos:R:3 pbc="T T T"
Pm 4.8316 3.0444 -2.9159
Pm 2.7749 1.7390 0.0000
Pm 6.8883 1.7390 0.0000
Pm 1.8587 4.8836 -1.8180
Pm 2.9729 0.0000 3.4293
Pm 0.0000 1.8392 2.3314
Pm 4.8316 3.0444 2.9159
Pm 1.8587 4.8836 1.8180
Pm 2.9729 0.0000 7.0653
Pm -2.0567 3.1446 5.2473
Pm 2.0567 3.1446 5.2473
Pm 0.0000 1.8392 8.1632
Tl 0.0000 0.0000 5.2473
Rh 0.0000 0.0000 0.0000
Rh 4.8316 0.0000 1.3700
Rh 0.0000 3.3386 0.0000
Rh 0.0000 6.4287 0.0000
Rh 0.0000 4.8836 3.8774
```

---

Record 9
This entry pairs a crystal structure of Pm8Tl2Rh with its calculated powder diffraction line list. Radiation: a wavelength of 1.5418 Å. Structure: DFT lattice parameters and positions (GGA-PBE).

Peak list (10 most intense, 10 to 80 degrees two-theta, sorted by position)
d/Å  2θ (°)  I (rel.)
3.257  27.38  20
2.834  31.57  88
2.727  32.84  9
2.635  34.03  100
2.138  42.28  13
1.773  51.53  26
1.636  56.22  12
1.595  57.81  22
1.504  61.67  34
1.502  61.75  9

Structural model:
```
11
Lattice="4.5404 -8.1813 0.0000 4.5404 8.1813 0.0000 -3.5323 0.0000 4.4316" Properties=species:S:1:pos:R:3 pbc="T T T"
Pm 0.0000 0.0000 0.0000
Pm 1.3488 3.1896 1.0889
Pm 2.6633 6.1370 2.1337
Pm 4.5718 2.0447 0.0418
Pm 1.3488 -3.1896 1.0889
Pm 2.7019 0.0000 2.1813
Pm 4.5718 -2.0447 0.0418
Pm 2.6633 -6.1370 2.1337
Tl 4.1222 3.0384 3.3040
Tl 4.1222 -3.0384 3.3040
Rh -0.4121 0.0000 3.2951
```

---

Record 10
This entry pairs a crystal structure of Pm4Tl3Rh with its calculated powder diffraction line list. Radiation: a wavelength of 1.5418 Å. Structure: DFT lattice parameters and positions (GGA-PBE).

Peak list (10 most intense, 10 to 80 degrees two-theta, sorted by position)
d/Å  2θ (°)  I (rel.)
3.035  29.43  9
2.731  32.79  100
2.569  34.93  47
2.071  43.71  8
1.816  50.23  17
1.741  52.58  7
1.612  57.13  15
1.512  61.29  34
1.391  67.30  7
1.366  68.74  8

Structural model:
```
8
Lattice="3.6327 0.0000 0.0000 0.0000 3.6327 0.0000 0.0000 0.0000 16.5665" Properties=species:S:1:pos:R:3 pbc="T T T"
Pm 0.0000 0.0000 1.6732
Pm 0.0000 0.0000 6.0942
Pm 0.0000 0.0000 10.4723
Pm 0.0000 0.0000 14.8933
Tl 1.8164 1.8164 3.9508
Tl 1.8164 1.8164 8.2833
Tl 1.8164 1.8164 12.6157
Rh 1.8164 1.8164 0.0000
```

---

Record 11
This entry pairs a crystal structure of Pm8TlRh2 with its calculated powder diffraction line list. Radiation: a wavelength of 1.5418 Å. Structure: DFT lattice parameters and positions (GGA-PBE).

Peak list (10 most intense, 10 to 80 degrees two-theta, sorted by position)
d/Å  2θ (°)  I (rel.)
2.991  29.87  65
2.921  30.60  100
2.760  32.44  71
2.750  32.57  61
2.719  32.94  30
2.681  33.43  97
2.446  36.74  49
2.408  37.34  32
1.771  51.60  35
1.499  61.92  27

Structural model:
```
11
Lattice="4.3790 -6.9267 0.0000 4.3790 6.9267 0.0000 -1.4376 0.0000 5.4387" Properties=species:S:1:pos:R:3 pbc="T T T"
Pm 0.9947 1.7375 3.0609
Pm 4.3790 3.5150 0.0000
Pm 0.9947 -1.7375 3.0609
Pm 3.1828 0.0000 1.0502
Pm 4.1377 0.0000 4.3885
Pm 6.3258 1.7375 2.3777
Pm 4.3790 -3.5150 0.0000
Pm 6.3258 -1.7375 2.3777
Tl 0.0000 0.0000 0.0000
Rh 3.6603 2.8445 2.7193
Rh 3.6603 -2.8445 2.7193
```

---

Record 12
This entry pairs a crystal structure of PmTm3Rh8 with its calculated powder diffraction line list. Radiation: a wavelength of 1.5418 Å. Structure: DFT lattice parameters and positions (GGA-PBE).

Peak list (10 most intense, 10 to 80 degrees two-theta, sorted by position)
d/Å  2θ (°)  I (rel.)
2.663  33.65  45
2.458  36.56  89
2.306  39.05  13
2.272  39.66  100
2.230  40.45  77
2.179  41.45  12
1.495  62.09  36
1.450  64.24  24
1.391  67.34  30
1.332  70.75  27

Structural model:
```
12
Lattice="5.3266 0.0000 0.0000 -2.6633 4.6130 0.0000 0.0000 0.0000 8.7141" Properties=species:S:1:pos:R:3 pbc="T T T"
Pm 0.0000 0.0000 0.0000
Tm 0.0000 0.0000 3.2070
Tm 2.6633 1.5377 4.3375
Tm 2.6633 1.5377 7.5248
Rh 0.0000 1.5166 5.9250
Rh -1.3499 3.8547 5.9250
Rh 0.0000 3.0753 3.7684
Rh 0.0000 3.0753 8.1187
Rh 2.6633 0.0225 1.6198
Rh 1.3511 2.2953 1.6198
Rh 1.3499 3.8547 5.9250
Rh 3.9755 2.2953 1.6198
```

---

Record 13
This entry pairs a crystal structure of PmTmRh with its calculated powder diffraction line list. Radiation: a wavelength of 1.5418 Å. Structure: DFT lattice parameters and positions (GGA-PBE).

Peak list (10 most intense, 10 to 80 degrees two-theta, sorted by position)
d/Å  2θ (°)  I (rel.)
6.191  14.31  19
3.047  29.31  100
2.319  38.83  39
2.021  44.85  33
1.778  51.40  23
1.684  54.48  18
1.524  60.79  11
1.294  73.14  15
1.229  77.71  12
1.217  78.64  10

Structural model:
```
3
Lattice="4.0420 0.0000 0.0000 -2.0210 3.5005 0.0000 0.0000 0.0000 6.1914" Properties=species:S:1:pos:R:3 pbc="T T T"
Pm 0.0000 0.0000 0.0000
Tm 2.0210 1.1668 3.2234
Rh 0.0000 2.3337 4.6184
```